(1)
# SmHfF7
Simulated XRD peak list, a wavelength of 1.5418 Å. Input: the PBE geometry in the Materials Project.

Structural model:
Cell lengths 6.2045, 5.7751, 8.3779 Å; angles 90.00, 101.74, 90.00 degrees
Space group P2_1 (No. 4)
Symmetry-distinct sites (fractional):
Sm1 0.1573 0.0000 0.1872 x2
Hf1 0.3112 0.9902 0.7240 x2
F1 0.0501 0.1998 0.7133 x2
F2 0.0501 0.3127 0.0249 x2
F3 0.1244 0.7022 0.7168 x2
F4 0.2567 0.9933 0.4805 x2
F5 0.3593 0.9859 0.9687 x2
F6 0.4316 0.2761 0.2693 x2
F7 0.4683 0.7508 0.2607 x2

Peak list (12 most intense, 5 to 70 degrees two-theta, in order of rising 2θ)
d 4.186, 2θ 21.2, intensity 100, hkl 1 1 0
d 4.101, 2θ 21.7, intensity 40, hkl 0 0 2
d 3.960, 2θ 22.5, intensity 14, hkl 1 1 -1
d 3.533, 2θ 25.2, intensity 16, hkl 1 1 1
d 3.344, 2θ 26.7, intensity 12, hkl 0 1 2
d 3.159, 2θ 28.2, intensity 30, hkl 1 1 -2
d 3.058, 2θ 29.2, intensity 11, hkl 2 0 -1
d 2.888, 2θ 31.0, intensity 15, hkl 0 2 0
d 2.100, 2θ 43.1, intensity 14, hkl 2 2 -1
d 1.945, 2θ 46.7, intensity 15, hkl 3 1 -1
d 1.835, 2θ 49.7, intensity 13, hkl 1 3 0
d 1.787, 2θ 51.1, intensity 11, hkl 3 1 1


(2)
# Sr2GdMgRuO6
Simulated XRD peak list, a wavelength of 1.5418 Å. Input: the PBE geometry in the Materials Project.

Structural model:
Cell lengths 9.7018, 6.0602, 5.6940 Å; angles 90.00, 113.48, 90.00 degrees
Space group C2/m (No. 12)
Symmetry-distinct sites (fractional):
Sr1 0.2002 0.0000 0.1515 x4
Gd1 0.0000 0.0000 0.5000 x2
Mg1 0.0000 0.5000 0.5000 x2
Ru1 0.0000 0.5000 0.0000 x2
O1 0.0694 0.2659 0.7974 x8
O2 0.1941 0.5000 0.3601 x4

Peak list (12 most intense, 5 to 70 degrees two-theta, in order of rising 2θ)
d 4.449, 2θ 20.0, intensity 26, hkl 2 0 0
d 3.267, 2θ 27.3, intensity 88, hkl 1 1 1
d 3.030, 2θ 29.5, intensity 70, hkl 0 2 0
d 2.816, 2θ 31.8, intensity 100, hkl 3 1 -1
d 2.789, 2θ 32.1, intensity 36, hkl 2 0 -2
d 2.563, 2θ 35.0, intensity 21, hkl 1 1 -2
d 2.090, 2θ 43.3, intensity 19, hkl 3 1 1
d 2.083, 2θ 43.4, intensity 24, hkl 2 2 1
d 2.052, 2θ 44.1, intensity 56, hkl 2 2 -2
d 1.793, 2θ 50.9, intensity 35, hkl 4 2 0
d 1.706, 2θ 53.7, intensity 29, hkl 3 3 -1
d 1.551, 2θ 59.6, intensity 19, hkl 5 1 -3


(3)
# Sm2HfCo16
Simulated XRD peak list, a wavelength of 1.5418 Å. Input: the PBE geometry in the Materials Project.

Structural model:
Cell lengths 8.4074, 8.4074, 8.2120 Å; angles 90.00, 90.00, 120.00 degrees
Space group P-3m1 (No. 164)
Symmetry-distinct sites (fractional):
Sm1 0.0000 0.0000 0.2496 x2
Sm2 0.3333 0.6667 0.2355 x2
Hf1 0.3333 0.6667 0.6136 x2
Co1 0.0000 0.5000 0.0000 x3
Co2 0.0000 0.5000 0.5000 x3
Co3 0.0401 0.3696 0.7515 x12
Co4 0.1629 0.3257 0.4801 x6
Co5 0.1668 0.3335 0.0149 x6
Co6 0.3333 0.6667 0.9056 x2

Peak list (12 most intense, 5 to 70 degrees two-theta, in order of rising 2θ)
d 4.204, 2θ 21.1, intensity 17, hkl 1 1 0
d 2.937, 2θ 30.4, intensity 32, hkl 1 1 2
d 2.562, 2θ 35.0, intensity 17, hkl 0 1 3
d 2.427, 2θ 37.0, intensity 62, hkl 3 0 0
d 2.286, 2θ 39.4, intensity 16, hkl 2 1 2
d 2.188, 2θ 41.3, intensity 50, hkl 2 0 3
d 2.102, 2θ 43.0, intensity 82, hkl 2 2 0
d 2.089, 2θ 43.3, intensity 100, hkl 0 3 2
d 2.053, 2θ 44.1, intensity 27, hkl 0 0 4
d 1.941, 2θ 46.8, intensity 28, hkl 1 2 3
d 1.871, 2θ 48.7, intensity 25, hkl 2 2 2
d 1.426, 2θ 65.5, intensity 17, hkl 2 3 3